Computed X-ray powder pattern of Sm3HoRu for Cu Kα X-rays, from a cell relaxed with GGA-PBE.
Kinematic intensities with the Lorentz-polarization factor, no thermal factor.

The 8 most intense peaks (2θ = 15–90°), in order of falling intensity:
Position (°2θ), I/Imax
31.5, 100
27.9, 62
30.5, 47
50.3, 35
30.8, 26
41.5, 24
52.4, 21
38.2, 21

Structural model:
Cell: 7.4262 7.4262 7.4262 Å, 101.13 119.50 108.33°
Fractional coordinates of all 10 atoms:
Sm 0.2494 0.0391 0.2885
Sm 0.2494 0.4609 0.7103
Sm 0.7293 0.9993 0.2300
Sm 0.7506 0.5391 0.2897
Sm 0.7506 0.9609 0.7115
Sm 0.7693 0.4993 0.7700
Ho 0.2252 0.5008 0.2245
Ho 0.2763 0.0008 0.7755
Ru 0.2483 0.7500 0.9983
Ru 0.7517 0.2500 0.0017

Computed X-ray powder pattern of CaDy4Tl4 for Cu Kα X-rays, from a cell relaxed with GGA-PBE.
Kinematic intensities with the Lorentz-polarization factor, no thermal factor.

The 8 most intense peaks (2θ = 15–90°), in order of falling intensity:
Position (°2θ), I/Imax
28.8, 100
30.1, 56
40.0, 41
44.2, 37
35.4, 32
41.2, 31
18.1, 30
36.1, 18

Structural model:
Cell: 9.7981 9.7981 6.2278 Å, 90.00 90.00 90.00°
Fractional coordinates of all 18 atoms:
Ca 0.2500 0.2500 0.2500
Ca 0.7500 0.7500 0.7500
Dy 0.0803 0.6505 0.1402
Dy 0.1505 0.9197 0.6402
Dy 0.3495 0.5803 0.6402
Dy 0.4197 0.8495 0.1402
Dy 0.5803 0.1505 0.8598
Dy 0.6505 0.4197 0.3598
Dy 0.8495 0.0803 0.3598
Dy 0.9197 0.3495 0.8598
Tl 0.0333 0.6189 0.6433
Tl 0.1189 0.9667 0.1433
Tl 0.3811 0.5333 0.1433
Tl 0.4667 0.8811 0.6433
Tl 0.5333 0.1189 0.3567
Tl 0.6189 0.4667 0.8567
Tl 0.8811 0.0333 0.8567
Tl 0.9667 0.3811 0.3567

Computed X-ray powder pattern of HoBeCo3 for Cu Kα X-rays, from a cell relaxed with GGA-PBE.
Kinematic intensities with the Lorentz-polarization factor, no thermal factor.

The 8 most intense peaks (2θ = 15–90°), in order of falling intensity:
Position (°2θ), I/Imax
33.4, 100
33.8, 88
30.3, 70
23.7, 54
41.9, 54
47.4, 51
29.6, 50
47.9, 50

Structural model:
Cell: 8.5365 8.5365 4.2284 Å, 90.00 90.00 149.69°
Fractional coordinates of all 10 atoms:
Ho 0.1002 0.8998 0.7500
Ho 0.8998 0.1002 0.2500
Be 0.3855 0.6145 0.7500
Be 0.6145 0.3855 0.2500
Co 0.0220 0.4714 0.7500
Co 0.4714 0.0220 0.2500
Co 0.5000 0.5000 0.0000
Co 0.5000 0.5000 0.5000
Co 0.5286 0.9780 0.7500
Co 0.9780 0.5286 0.2500

Computed X-ray powder pattern of PrDy4Hg for Cu Kα X-rays, from a cell relaxed with GGA-PBE.
Kinematic intensities with the Lorentz-polarization factor, no thermal factor.

The 8 most intense peaks (2θ = 15–90°), in order of falling intensity:
Position (°2θ), I/Imax
34.1, 100
32.6, 94
31.4, 83
33.8, 80
33.0, 48
28.4, 44
32.4, 43
62.1, 40

Structural model:
Cell: 8.2697 8.2697 6.3694 Å, 100.12 100.12 115.67°
Fractional coordinates of all 12 atoms:
Pr 0.0973 0.9027 0.7500
Pr 0.9027 0.0973 0.2500
Dy 0.1036 0.3352 0.8703
Dy 0.2136 0.5877 0.4523
Dy 0.3352 0.1036 0.3703
Dy 0.4123 0.7864 0.0477
Dy 0.5877 0.2136 0.9523
Dy 0.6648 0.8964 0.6297
Dy 0.7864 0.4123 0.5477
Dy 0.8964 0.6648 0.1297
Hg 0.4994 0.5006 0.7500
Hg 0.5006 0.4994 0.2500

Computed X-ray powder pattern of Rb2Hg4Pd for Cu Kα X-rays, from a cell relaxed with GGA-PBE.
Kinematic intensities with the Lorentz-polarization factor, no thermal factor.

The 8 most intense peaks (2θ = 15–90°), in order of falling intensity:
Position (°2θ), I/Imax
30.5, 100
15.7, 97
37.1, 43
31.7, 40
49.6, 38
40.5, 29
24.2, 26
26.0, 24

Structural model:
Cell: 7.4346 7.4346 7.4346 Å, 125.11 125.11 81.36°
Fractional coordinates of all 7 atoms:
Rb 0.2500 0.7500 0.5000
Rb 0.7500 0.2500 0.5000
Hg 0.2206 0.2206 0.4411
Hg 0.2206 0.7794 0.0000
Hg 0.7794 0.2206 0.0000
Hg 0.7794 0.7794 0.5589
Pd 0.5000 0.5000 0.0000

Computed X-ray powder pattern of PmPuAlSi for Cu Kα X-rays, from a cell relaxed with GGA-PBE.
Kinematic intensities with the Lorentz-polarization factor, no thermal factor.

The 8 most intense peaks (2θ = 15–90°), in order of falling intensity:
Position (°2θ), I/Imax
35.4, 100
24.8, 67
63.5, 37
57.4, 29
43.7, 21
50.9, 18
85.6, 17
80.3, 14

Structural model:
Cell: 5.0730 5.0730 5.0730 Å, 60.00 60.00 60.00°
Fractional coordinates of all 4 atoms:
Pm 0.0000 0.0000 0.0000
Pu 0.5000 0.5000 0.5000
Al 0.7500 0.7500 0.7500
Si 0.2500 0.2500 0.2500

Computed X-ray powder pattern of Ho12Co7 for Cu Kα X-rays, from a cell relaxed with GGA-PBE.
Kinematic intensities with the Lorentz-polarization factor, no thermal factor.

The 8 most intense peaks (2θ = 15–90°), in order of falling intensity:
Position (°2θ), I/Imax
33.6, 100
33.8, 98
34.3, 71
32.8, 54
34.6, 54
34.0, 48
31.7, 46
37.1, 43

Structural model:
Cell: 8.2470 11.1720 10.9640 Å, 90.00 125.24 90.00°
Fractional coordinates of all 38 atoms:
Ho 0.0033 0.1593 0.3419
Ho 0.0033 0.3407 0.8419
Ho 0.2363 0.5705 0.8077
Ho 0.2363 0.9295 0.3077
Ho 0.2521 0.1988 0.1767
Ho 0.2521 0.3012 0.6767
Ho 0.2644 0.7058 0.5387
Ho 0.2644 0.7942 0.0387
Ho 0.2680 0.0706 0.9137
Ho 0.2680 0.4294 0.4137
Ho 0.3425 0.5030 0.1453
Ho 0.3425 0.9970 0.6453
Ho 0.6575 0.0030 0.3547
Ho 0.6575 0.4970 0.8547
Ho 0.7320 0.5706 0.5863
Ho 0.7320 0.9294 0.0863
Ho 0.7356 0.2058 0.9613
Ho 0.7356 0.2942 0.4613
Ho 0.7479 0.6988 0.3233
Ho 0.7479 0.8012 0.8233
Ho 0.7637 0.0705 0.6923
Ho 0.7637 0.4295 0.1923
Ho 0.9967 0.6593 0.1581
Ho 0.9967 0.8407 0.6581
Co 0.0000 0.0000 0.0000
Co 0.0000 0.5000 0.5000
Co 0.0054 0.0999 0.6002
Co 0.0054 0.4001 0.1002
Co 0.3989 0.6853 0.3408
Co 0.3989 0.8147 0.8408
Co 0.4080 0.1788 0.4748
Co 0.4080 0.3212 0.9748
Co 0.5920 0.6788 0.0252
Co 0.5920 0.8212 0.5252
Co 0.6011 0.1853 0.1592
Co 0.6011 0.3147 0.6592
Co 0.9946 0.5999 0.8998
Co 0.9946 0.9001 0.3998

Computed X-ray powder pattern of Pu3Sb2Rh6 for Cu Kα X-rays, from a cell relaxed with GGA-PBE.
Kinematic intensities with the Lorentz-polarization factor, no thermal factor.

The 8 most intense peaks (2θ = 15–90°), in order of falling intensity:
Position (°2θ), I/Imax
40.6, 100
32.9, 65
35.6, 38
65.7, 30
38.2, 25
83.3, 23
53.2, 21
30.0, 20

Structural model:
Cell: 8.1626 8.1626 8.1626 Å, 109.47 109.47 109.47°
Fractional coordinates of all 22 atoms:
Pu 0.0000 0.2722 0.2722
Pu 0.0000 0.7278 0.7278
Pu 0.2722 0.0000 0.2722
Pu 0.2722 0.2722 0.0000
Pu 0.7278 0.0000 0.7278
Pu 0.7278 0.7278 0.0000
Sb 0.0000 0.0000 0.5000
Sb 0.0000 0.5000 0.0000
Sb 0.5000 0.0000 0.0000
Sb 0.5000 0.5000 0.5000
Rh 0.0000 0.3536 0.6464
Rh 0.0000 0.6464 0.3536
Rh 0.2928 0.6464 0.6464
Rh 0.3536 0.0000 0.6464
Rh 0.3536 0.3536 0.7072
Rh 0.3536 0.6464 0.0000
Rh 0.3536 0.7072 0.3536
Rh 0.6464 0.0000 0.3536
Rh 0.6464 0.2928 0.6464
Rh 0.6464 0.3536 0.0000
Rh 0.6464 0.6464 0.2928
Rh 0.7072 0.3536 0.3536

Computed X-ray powder pattern of Ba2Sb2Pb for Cu Kα X-rays, from a cell relaxed with GGA-PBE.
Kinematic intensities with the Lorentz-polarization factor, no thermal factor.

The 8 most intense peaks (2θ = 15–90°), in order of falling intensity:
Position (°2θ), I/Imax
33.7, 100
27.4, 92
27.6, 63
35.6, 61
29.3, 58
15.9, 50
35.8, 42
23.5, 38

Structural model:
Cell: 10.1263 9.3664 8.9262 Å, 90.00 94.14 90.00°
Fractional coordinates of all 20 atoms:
Ba 0.0933 0.2503 0.0221
Ba 0.0933 0.2497 0.5221
Ba 0.3474 0.6803 0.4618
Ba 0.3474 0.8197 0.9618
Ba 0.6526 0.1803 0.0382
Ba 0.6526 0.3197 0.5382
Ba 0.9067 0.7503 0.4779
Ba 0.9067 0.7497 0.9779
Sb 0.1257 0.5684 0.7450
Sb 0.1257 0.9316 0.2450
Sb 0.3770 0.1310 0.7502
Sb 0.3770 0.3690 0.2502
Sb 0.6230 0.6310 0.7498
Sb 0.6230 0.8690 0.2498
Sb 0.8743 0.0684 0.7550
Sb 0.8743 0.4316 0.2550
Pb 0.3836 0.0657 0.3680
Pb 0.3836 0.4343 0.8680
Pb 0.6164 0.5657 0.1320
Pb 0.6164 0.9343 0.6320

Computed X-ray powder pattern of CeNp2As2N2 for Cu Kα X-rays, from a cell relaxed with GGA-PBE.
Kinematic intensities with the Lorentz-polarization factor, no thermal factor.

The 8 most intense peaks (2θ = 15–90°), in order of falling intensity:
Position (°2θ), I/Imax
31.4, 100
36.1, 71
29.5, 66
50.2, 26
39.2, 22
56.8, 21
35.0, 21
47.3, 21

Structural model:
Cell: 6.3969 6.3969 7.0020 Å, 120.67 120.67 34.93°
Fractional coordinates of all 7 atoms:
Ce 0.0000 0.0000 0.0000
Np 0.1856 0.1856 0.7476
Np 0.8144 0.8144 0.2524
As 0.4352 0.4352 0.6440
As 0.5648 0.5648 0.3560
N 0.2128 0.2128 0.0920
N 0.7872 0.7872 0.9080

Computed X-ray powder pattern of LiAc2Ge2Au6 for Cu Kα X-rays, from a cell relaxed with GGA-PBE.
Kinematic intensities with the Lorentz-polarization factor, no thermal factor.

The 8 most intense peaks (2θ = 15–90°), in order of falling intensity:
Position (°2θ), I/Imax
31.3, 100
35.1, 48
26.9, 47
37.7, 45
40.3, 32
44.1, 26
62.2, 24
53.2, 23

Structural model:
Cell: 7.7294 7.7294 7.7294 Å, 52.91 52.91 52.91°
Fractional coordinates of all 11 atoms:
Li 0.0000 0.0000 0.0000
Ac 0.2564 0.2564 0.2564
Ac 0.7436 0.7436 0.7436
Ge 0.4141 0.4141 0.4141
Ge 0.5859 0.5859 0.5859
Au 0.1556 0.7496 0.7496
Au 0.2504 0.2504 0.8444
Au 0.2504 0.8444 0.2504
Au 0.7496 0.1556 0.7496
Au 0.7496 0.7496 0.1556
Au 0.8444 0.2504 0.2504